Diffraction record for Dy6Ru2Pt. The PXRD pattern is computed, not measured: it uses a structure optimized by DFT (PBE) and copper Kα.

Peak list (6 most intense, 2θ from 10° to 80°, by angle)
2θ (°)	I (rel.)	(hkl)
30.13	328	3 1 0
32.38	1000	2 2 2
34.40	434	2 1 3
35.12	830	1 3 2
35.60	788	2 3 1
38.40	344	4 0 0

abc: 9.376 9.412 9.983
angles: 90.00 90.00 90.00
Space group Immm (No. 71)
Unique sites:
Dy (0.000, 0.190, 0.247) [8 per cell]
Dy (0.187, 0.500, 0.331) [8 per cell]
Dy (0.232, 0.322, 0.000) [8 per cell]
Ru (0.000, 0.327, 0.500) [4 per cell]
Ru (0.000, 0.500, 0.124) [4 per cell]
Pt (0.000, 0.000, 0.000) [2 per cell]
Pt (0.000, 0.000, 0.500) [2 per cell]